Record 1
MnTlBr3: theoretical powder X-ray diffraction pattern (copper Kα), based on DFT lattice parameters and positions (GGA-PBE).
No peak broadening, texture or thermal motion is included.

Largest 10 diffraction maxima, in order of rising 2θ, 5 to 70 degrees two-theta:
2θ/deg	d/Å	intensity	(hkl)
16.6	5.344	6	1 0 0
23.5	3.779	49	1 1 0
28.9	3.085	100	1 1 1
33.5	2.672	85	2 0 0
41.4	2.182	23	2 1 1
48.2	1.889	60	2 2 0
54.3	1.690	10	3 1 0
57.2	1.611	44	3 1 1
60.0	1.543	21	2 2 2
65.3	1.428	12	3 2 1

Unit cell a=5.344 b=5.344 c=5.344 alpha=90.00 beta=90.00 gamma=90.00
Space group Pm-3m (No. 221)
Symmetry-distinct sites (fractional):
Mn  0.000  0.000  0.000
Tl  0.500  0.500  0.500
Br  0.000  0.000  0.500

***

Record 2
Mn3Tl6Br14: theoretical powder X-ray diffraction pattern (copper Kα), based on DFT lattice parameters and positions (GGA-PBE).
No peak broadening, texture or thermal motion is included.

Largest 10 diffraction maxima, in order of rising 2θ, 5 to 70 degrees two-theta:
2θ/deg	d/Å	intensity	(hkl)
15.2	5.833	55	0 1 1
19.6	4.527	59	2 -1 1
21.5	4.135	100	0 2 1
26.4	3.379	63	3 -2 1
29.2	3.058	96	0 3 1
30.7	2.916	39	2 0 2
34.2	2.619	89	4 -3 1
34.3	2.611	84	1 2 2
40.7	2.215	48	4 1 0
61.3	1.513	41	6 1 1

Unit cell a=11.7263 b=11.7263 c=7.1247 alpha=90.00 beta=90.00 gamma=120.00
Space group P3 (No. 143)
Symmetry-distinct sites (fractional):
Mn  0.0000  0.0000  0.0000
Mn  0.3333  0.6667  0.5114
Mn  0.6667  0.3333  0.3561
Tl  0.0496  0.5780  0.0950
Tl  0.2799  0.0810  0.5741
Br  0.0000  0.0000  0.3515
Br  0.0680  0.8445  0.8700
Br  0.1913  0.4417  0.3726
Br  0.3333  0.6667  0.8606
Br  0.4696  0.2087  0.1569
Br  0.5387  0.4020  0.5524

***

Record 3
MnTl2Br8: theoretical powder X-ray diffraction pattern (copper Kα), based on DFT lattice parameters and positions (GGA-PBE).
No peak broadening, texture or thermal motion is included.

Largest 10 diffraction maxima, in order of rising 2θ, 5 to 70 degrees two-theta:
2θ/deg	d/Å	intensity	(hkl)
13.1	6.744	100	0 1 -1
18.6	4.763	40	0 1 2
19.6	4.524	44	0 2 1
28.4	3.144	22	0 3 1
28.8	3.100	32	1 2 -1
29.5	3.027	74	1 0 2
35.5	2.529	21	1 1 -3
36.7	2.450	26	-1 1 3
46.7	1.947	22	1 4 3
47.3	1.923	26	2 1 0

Unit cell a=3.848 b=9.833 c=10.442 alpha=84.68 beta=89.93 gamma=78.80
Space group P-1 (No. 2)
Symmetry-distinct sites (fractional):
Mn  0.000  0.000  0.000
Tl  0.158  0.686  0.667
Br  0.029  0.941  0.745
Br  0.262  0.475  0.192
Br  0.353  0.292  0.531
Br  0.414  0.174  0.937

***

Record 4
Mn3TlBr8: theoretical powder X-ray diffraction pattern (copper Kα), based on DFT lattice parameters and positions (GGA-PBE).
No peak broadening, texture or thermal motion is included.

Largest 10 diffraction maxima, in order of rising 2θ, 5 to 70 degrees two-theta:
2θ/deg	d/Å	intensity	(hkl)
12.9	6.838	93	0 0 1
25.9	3.440	20	2 2 -1
26.0	3.422	16	4 0 -1
30.9	2.892	100	2 2 -2
31.3	2.859	49	4 0 0
40.0	2.251	19	2 2 -3
43.5	2.081	17	4 0 -4
44.0	2.057	34	2 2 2
45.1	2.011	50	0 4 0
55.9	1.645	17	4 4 0

Unit cell a=13.930 b=8.046 c=8.328 alpha=90.00 beta=124.81 gamma=90.00
Space group C2/m (No. 12)
Symmetry-distinct sites (fractional):
Mn  0.000  0.000  0.000
Mn  0.250  0.250  0.000
Tl  0.000  0.500  0.000
Br  0.014  0.228  0.775
Br  0.241  0.000  0.219
Br  0.242  0.000  0.775

***

Record 5
Mn2TlBr4: theoretical powder X-ray diffraction pattern (copper Kα), based on DFT lattice parameters and positions (GGA-PBE).
No peak broadening, texture or thermal motion is included.

Largest 10 diffraction maxima, in order of rising 2θ, 5 to 70 degrees two-theta:
2θ/deg	d/Å	intensity	(hkl)
18.0	4.942	29	1 0 1
27.4	3.257	100	2 1 1
29.2	3.062	24	2 2 0
29.7	3.009	14	0 0 2
32.7	2.739	17	1 3 0
33.2	2.700	14	1 1 2
44.7	2.025	48	1 3 2
46.9	1.936	17	4 2 0
51.3	1.781	17	2 1 3
55.2	1.664	21	5 0 1

Unit cell a=8.660 b=8.660 c=6.017 alpha=90.00 beta=90.00 gamma=90.00
Space group I4/m (No. 87)
Symmetry-distinct sites (fractional):
Mn  0.000  0.500  0.250
Tl  0.000  0.000  0.000
Br  0.146  0.312  0.500

***

Record 6
Mn2TlBr8: theoretical powder X-ray diffraction pattern (copper Kα), based on DFT lattice parameters and positions (GGA-PBE).
No peak broadening, texture or thermal motion is included.

Largest 10 diffraction maxima, in order of rising 2θ, 5 to 70 degrees two-theta:
2θ/deg	d/Å	intensity	(hkl)
9.0	9.797	43	0 0 1
14.8	5.986	100	1 1 0
21.8	4.068	33	2 0 1
24.4	3.648	35	3 1 -1
26.4	3.378	37	1 1 2
27.4	3.251	35	1 1 -3
28.8	3.100	35	2 2 -1
30.1	2.971	39	4 0 -3
30.6	2.921	79	2 2 -2
37.5	2.397	34	4 0 1

Unit cell a=12.875 b=7.085 c=11.273 alpha=90.00 beta=119.65 gamma=90.00
Space group C2/m (No. 12)
Symmetry-distinct sites (fractional):
Mn  0.108  0.000  0.192
Tl  0.000  0.000  0.500
Br  0.090  0.260  0.315
Br  0.113  0.000  0.972
Br  0.182  0.500  0.695

***

Record 7
MnTl3Br7: theoretical powder X-ray diffraction pattern (copper Kα), based on DFT lattice parameters and positions (GGA-PBE).
No peak broadening, texture or thermal motion is included.

Largest 10 diffraction maxima, in order of rising 2θ, 5 to 70 degrees two-theta:
2θ/deg	d/Å	intensity	(hkl)
18.5	4.792	58	2 0 0
21.1	4.206	100	0 2 1
23.9	3.716	71	2 0 -2
27.7	3.226	27	1 3 0
29.7	3.010	26	2 2 -2
31.4	2.852	76	2 2 1
35.6	2.520	26	4 0 -2
38.3	2.352	44	2 2 -3
38.7	2.325	44	4 2 -1
39.8	2.264	26	2 4 0

Unit cell a=10.462 b=10.278 c=7.990 alpha=90.00 beta=113.63 gamma=90.00
Space group Cm (No. 8)
Symmetry-distinct sites (fractional):
Mn  0.000  0.000  0.000
Tl  0.006  0.500  0.034
Tl  0.019  0.234  0.523
Br  0.147  0.174  0.195
Br  0.151  0.000  0.826
Br  0.351  0.330  0.792
Br  0.355  0.500  0.180
Br  0.435  0.000  0.634

***

Record 8
YMnBr3: theoretical powder X-ray diffraction pattern (copper Kα), based on DFT lattice parameters and positions (GGA-PBE).
No peak broadening, texture or thermal motion is included.

Largest 10 diffraction maxima, in order of rising 2θ, 5 to 70 degrees two-theta:
2θ/deg	d/Å	intensity	(hkl)
15.8	5.618	49	1 0 0
22.4	3.973	14	1 1 0
27.5	3.244	57	1 1 1
31.9	2.809	100	2 0 0
35.7	2.513	26	2 1 0
45.7	1.986	71	2 2 0
48.6	1.873	13	3 0 0
54.1	1.694	24	3 1 1
56.8	1.622	24	2 2 2
66.6	1.405	11	4 0 0

Unit cell a=5.618 b=5.618 c=5.618 alpha=90.00 beta=90.00 gamma=90.00
Space group Pm-3m (No. 221)
Symmetry-distinct sites (fractional):
Y  0.000  0.000  0.000
Mn  0.500  0.500  0.500
Br  0.000  0.000  0.500